(1)
Simulated powder diffraction line list of Sm5Ho for copper Kα, from DFT lattice parameters and positions (GGA-PBE).

Most intense lines, 15° ≤ 2θ ≤ 90°, in order of falling intensity:
30.32°, I 100.0
35.15°, I 50.7
60.11°, I 43.1
50.55°, I 30.2
82.30°, I 14.8
84.93°, I 13.8
63.08°, I 12.4
50.64°, I 6.0
74.31°, I 5.8
82.44°, I 2.9

Structural model:
```
Sm5Ho
1.0
5.1091 0.0000 0.0000
0.0000 10.8163 0.0000
0.0000 0.0000 7.2246
Sm Ho
10 2
direct
0.2500 0.0831 0.1244
0.2500 0.0842 0.6259
0.2500 0.4158 0.6259
0.2500 0.4169 0.1244
0.2500 0.7500 0.6257
0.7500 0.2500 0.3743
0.7500 0.5831 0.8756
0.7500 0.5842 0.3741
0.7500 0.9158 0.3741
0.7500 0.9169 0.8756
0.2500 0.7500 0.1239
0.7500 0.2500 0.8761
```

***

(2)
Simulated powder diffraction line list of SmHo5 for copper Kα, from DFT lattice parameters and positions (GGA-PBE).

Most intense lines, 15° ≤ 2θ ≤ 90°, in order of falling intensity:
30.94°, I 100.0
35.88°, I 50.6
61.43°, I 42.8
51.64°, I 36.0
84.33°, I 17.8
87.05°, I 16.7
64.48°, I 12.3
76.05°, I 5.7

Structural model:
```
SmHo5
1.0
5.0044 0.0000 0.0000
0.0000 15.0193 0.0000
0.0000 0.0000 5.0074
Sm Ho
2 10
direct
0.0000 0.0000 0.0000
0.5000 0.5000 0.0000
0.0000 0.1670 0.5000
0.0000 0.3325 0.0000
0.0000 0.5000 0.5000
0.0000 0.6675 0.0000
0.0000 0.8330 0.5000
0.5000 0.0000 0.5000
0.5000 0.1675 0.0000
0.5000 0.3330 0.5000
0.5000 0.6670 0.5000
0.5000 0.8325 0.0000
```

***

(3)
Simulated powder diffraction line list of Sm13Ho2 for copper Kα, from DFT lattice parameters and positions (GGA-PBE).

Most intense lines, 15° ≤ 2θ ≤ 90°, in order of falling intensity:
31.24°, I 100.0
55.63°, I 28.6
44.76°, I 17.4
61.95°, I 7.5
61.98°, I 7.5
79.66°, I 7.2
74.09°, I 7.1
65.24°, I 6.3
40.67°, I 6.0
88.04°, I 5.8

Structural model:
```
Sm13Ho2
1.0
6.7122 0.0000 0.0000
1.2446 8.9797 0.0000
1.2388 3.5142 8.2649
Sm Ho
13 2
direct
0.0000 0.0000 0.0000
0.1025 0.4360 0.7646
0.1955 0.1959 0.2058
0.2976 0.6288 0.9730
0.3049 0.9611 0.6380
0.3972 0.3982 0.4040
0.4977 0.1682 0.8347
0.5023 0.8318 0.1653
0.6028 0.6018 0.5960
0.6951 0.0389 0.3620
0.7024 0.3712 0.0270
0.8045 0.8041 0.7942
0.8975 0.5640 0.2354
0.0981 0.7693 0.4302
0.9019 0.2307 0.5698
```

***

(4)
Simulated powder diffraction line list of Sm7Ho5 for copper Kα, from DFT lattice parameters and positions (GGA-PBE).

Most intense lines, 15° ≤ 2θ ≤ 90°, in order of falling intensity:
32.61°, I 100.0
29.69°, I 41.9
30.78°, I 34.3
60.54°, I 30.1
37.03°, I 23.2
55.90°, I 21.7
50.78°, I 17.0
86.03°, I 11.5
61.60°, I 10.7
48.89°, I 10.6

Structural model:
```
Sm7Ho5
1.0
9.3365 -1.8010 0.0000
9.3365 1.8010 0.0000
-6.2194 0.0000 11.6200
Sm Ho
7 5
direct
0.0000 0.0000 0.0000
0.1394 0.1394 0.7509
0.1672 0.1672 0.5023
0.4719 0.4719 0.7502
0.5281 0.5281 0.2498
0.8328 0.8328 0.4977
0.8606 0.8606 0.2491
0.1942 0.1942 0.2484
0.3324 0.3324 0.9987
0.5000 0.5000 0.5000
0.6676 0.6676 0.0013
0.8058 0.8058 0.7516
```

***

(5)
Simulated powder diffraction line list of Sm3Ho5 for copper Kα, from DFT lattice parameters and positions (GGA-PBE).

Most intense lines, 15° ≤ 2θ ≤ 90°, in order of falling intensity:
32.55°, I 100.0
31.51°, I 24.3
28.38°, I 23.8
60.53°, I 22.6
56.76°, I 20.6
50.25°, I 19.7
61.16°, I 16.4
42.91°, I 15.6
83.00°, I 13.8
87.15°, I 8.4

Structural model:
```
Sm3Ho5
1.0
3.6305 0.0000 0.0000
0.0000 5.6792 0.0000
0.0000 0.0000 12.5828
Sm Ho
3 5
direct
0.0000 0.0000 0.0000
0.0000 0.5000 0.1725
0.5000 0.0000 0.2546
0.0000 0.0000 0.5056
0.0000 0.5000 0.6690
0.5000 0.0000 0.7509
0.5000 0.5000 0.4234
0.5000 0.5000 0.9156
```

***

(6)
Simulated powder diffraction line list of Sm2Ho13 for copper Kα, from DFT lattice parameters and positions (GGA-PBE).

Most intense lines, 15° ≤ 2θ ≤ 90°, in order of falling intensity:
32.14°, I 100.0
32.23°, I 26.1
30.42°, I 20.2
57.41°, I 19.3
62.52°, I 18.8
58.36°, I 11.1
47.26°, I 10.3
37.65°, I 7.9
44.87°, I 7.0
44.93°, I 7.0

Structural model:
```
Sm2Ho13
1.0
6.5777 0.0000 0.0000
1.4027 8.5739 0.0000
0.9350 3.0813 8.3517
Sm Ho
2 13
direct
0.1993 0.3049 0.3975
0.8007 0.6951 0.6025
0.0000 0.5000 0.0000
0.0959 0.9241 0.6930
0.1347 0.6970 0.2655
0.2376 0.0756 0.9751
0.3341 0.4988 0.6683
0.4295 0.9229 0.3588
0.4670 0.6969 0.9348
0.5330 0.3031 0.0652
0.5705 0.0771 0.6412
0.6659 0.5012 0.3317
0.7624 0.9244 0.0249
0.8653 0.3030 0.7345
0.9041 0.0759 0.3070
```

***

(7)
Simulated powder diffraction line list of SmHo5Sn4 for copper Kα, from DFT lattice parameters and positions (GGA-PBE).

Most intense lines, 15° ≤ 2θ ≤ 90°, in order of falling intensity:
30.09°, I 100.0
36.85°, I 50.3
40.76°, I 45.1
36.60°, I 44.0
31.75°, I 38.7
30.59°, I 36.4
29.15°, I 27.6
25.33°, I 25.0
30.90°, I 21.5
34.37°, I 20.5

Structural model:
```
SmHo5Sn4
1.0
8.8822 -2.2134 0.0000
8.8822 2.2134 0.0000
-1.6960 0.0000 7.8274
Sm Ho Sn
1 5 4
direct
0.0000 0.0000 0.0000
0.0000 0.0000 0.5000
0.2940 0.2940 0.6926
0.3605 0.3605 0.2768
0.6395 0.6395 0.7232
0.7060 0.7060 0.3074
0.1889 0.1889 0.0116
0.4637 0.4637 0.7199
0.5363 0.5363 0.2801
0.8111 0.8111 0.9884
```

***

(8)
Simulated powder diffraction line list of Sm5HoSn5 for copper Kα, from DFT lattice parameters and positions (GGA-PBE).

Most intense lines, 15° ≤ 2θ ≤ 90°, in order of falling intensity:
28.48°, I 100.0
29.63°, I 89.1
29.96°, I 86.9
41.57°, I 72.0
41.81°, I 71.0
35.06°, I 57.7
45.76°, I 57.1
57.89°, I 27.0
49.26°, I 22.5
67.52°, I 18.4

Structural model:
```
Sm5HoSn5
1.0
7.9193 -3.1341 0.0000
7.9193 3.1341 0.0000
-1.8085 0.0000 7.1751
Sm Ho Sn
5 1 5
direct
0.0000 0.0000 0.0000
0.3304 0.3304 0.1755
0.3377 0.3377 0.6769
0.6623 0.6623 0.3231
0.6696 0.6696 0.8245
0.0000 0.0000 0.5000
0.1651 0.1651 0.8349
0.1655 0.1655 0.3467
0.5000 0.5000 0.5000
0.8345 0.8345 0.6533
0.8349 0.8349 0.1651
```

***

> Which formula does entry 7 have?

SmHo5Sn4

***

> Which formula does entry 2 have?

SmHo5